For Ce4GaSbS9, a structure optimized by DFT (GGA-PBE) gives the computed XRD peak list in this record (Cu Kα (weighted mean of Kα1 and Kα2)).
Lines closer than 0.1° are merged.

Crystal structure
Unit cell a=13.8278 b=10.1337 c=10.1337 alpha=89.38 beta=90.00 gamma=90.00
Sites, in units of the cell vectors:
Ce  0.1001  0.1717  0.8283
Ce  0.1036  0.5522  0.3259
Ce  0.1797  0.8793  0.5462
Ce  0.1851  0.8773  0.0950
Ce  0.3149  0.3773  0.5950
Ce  0.3203  0.3793  0.0462
Ce  0.3964  0.0522  0.8259
Ce  0.3999  0.6717  0.3283
Ce  0.6001  0.3283  0.6717
Ce  0.6036  0.8259  0.0522
Ce  0.6797  0.0462  0.3793
Ce  0.6851  0.5950  0.3773
Ce  0.8149  0.0950  0.8773
Ce  0.8203  0.5462  0.8793
Ce  0.8964  0.3259  0.5522
Ce  0.8999  0.8283  0.1717
Ga  0.0933  0.6210  0.8285
Ga  0.4067  0.1210  0.3285
Ga  0.5933  0.3285  0.1210
Ga  0.9067  0.8285  0.6210
Sb  0.1152  0.1779  0.3316
Sb  0.3848  0.6779  0.8316
Sb  0.6152  0.8316  0.6779
Sb  0.8848  0.3316  0.1779
S  0.0000  0.0035  0.0035
S  0.0000  0.6362  0.6362
S  0.0022  0.0146  0.6294
S  0.0685  0.8234  0.3197
S  0.0793  0.3358  0.1476
S  0.0999  0.3393  0.5156
S  0.1900  0.4338  0.8247
S  0.2012  0.7975  0.8211
S  0.2488  0.6153  0.1458
S  0.2492  0.6225  0.5062
S  0.2512  0.1153  0.6458
S  0.2508  0.1225  0.0062
S  0.2988  0.2975  0.3211
S  0.3100  0.9338  0.3247
S  0.4001  0.8393  0.0156
S  0.4207  0.8358  0.6476
S  0.4315  0.3234  0.8197
S  0.4978  0.5146  0.1294
S  0.5000  0.1362  0.1362
S  0.5000  0.5035  0.5035
S  0.5022  0.1294  0.5146
S  0.5685  0.8197  0.3234
S  0.5793  0.6476  0.8358
S  0.5999  0.0156  0.8393
S  0.6900  0.3247  0.9338
S  0.7012  0.3211  0.2975
S  0.7492  0.0062  0.1225
S  0.7488  0.6458  0.1153
S  0.7512  0.1458  0.6153
S  0.7508  0.5062  0.6225
S  0.7988  0.8211  0.7975
S  0.8100  0.8247  0.4338
S  0.9001  0.5156  0.3393
S  0.9207  0.1476  0.3358
S  0.9315  0.3197  0.8234
S  0.9978  0.6294  0.0146

Most intense lines, 10° ≤ 2θ ≤ 80°, by angle:
| 2θ/deg | I (rel.) |
| --- | --- |
| 24.7 | 61 |
| 25.8 | 48 |
| 26.1 | 100 |
| 27.2 | 36 |
| 32.9 | 35 |
| 35.4 | 44 |
| 36.0 | 59 |
| 49.5 | 53 |